This entry pairs a crystal structure of Sm3DyBi2 with its simulated powder diffraction line list. Radiation: λ = 1.5418 Å (Cu Kα). Structure: a DFT-relaxed cell (GGA-PBE, Alexandria).

Crystal structure
a = 18.821 Å, b = 4.396 Å, c = 10.209 Å
α = 90.00°, β = 115.29°, γ = 90.00°
Space group C2/m (No. 12)
Symmetry-distinct sites (fractional):
Sm  0.055  0.000  0.171
Sm  0.145  0.500  0.976
Sm  0.188  0.500  0.393
Dy  0.110  0.000  0.609
Bi  0.006  0.500  0.343
Bi  0.248  0.500  0.777

Top 6 peaks for 10 to 80 degrees two-theta, by angle:
| d/Å | I/Imax | h k l |
| --- | --- | --- |
| 2.974 | 49 | 1 1 2 |
| 2.856 | 100 | 5 1 -1 |
| 2.752 | 52 | 6 0 -3 |
| 2.631 | 92 | 1 1 -3 |
| 2.619 | 49 | 4 0 2 |
| 2.198 | 53 | 0 2 0 |


This entry pairs a crystal structure of Zr2ZnSn2 with its simulated powder diffraction line list. Radiation: λ = 1.5418 Å (Cu Kα). Structure: a DFT-relaxed cell (GGA-PBE, Alexandria).

Crystal structure
a = 7.332 Å, b = 7.332 Å, c = 4.278 Å
α = 90.00°, β = 90.00°, γ = 90.00°
Space group P4/mbm (No. 127)
Symmetry-distinct sites (fractional):
Zr  0.162  0.338  0.000
Zn  0.000  0.000  0.000
Sn  0.146  0.646  0.500

Top 6 peaks for 10 to 80 degrees two-theta, by angle:
| d/Å | I/Imax | h k l |
| --- | --- | --- |
| 2.603 | 100 | 2 1 1 |
| 2.319 | 31 | 3 1 0 |
| 2.139 | 17 | 0 0 2 |
| 1.642 | 15 | 4 1 1 |
| 1.572 | 18 | 3 1 2 |
| 1.297 | 19 | 5 2 1 |


What did the second record say?
This entry pairs a crystal structure of Zr2ZnSn2 with its simulated powder diffraction line list. Radiation: λ = 1.5418 Å (Cu Kα). Structure: a DFT-relaxed cell (GGA-PBE, Alexandria).

Crystal structure
a = 7.332 Å, b = 7.332 Å, c = 4.278 Å
α = 90.00°, β = 90.00°, γ = 90.00°
Space group P4/mbm (No. 127)
Symmetry-distinct sites (fractional):
Zr  0.162  0.338  0.000
Zn  0.000  0.000  0.000
Sn  0.146  0.646  0.500

Top 6 peaks for 10 to 80 degrees two-theta, by angle:
| d/Å | I/Imax | h k l |
| --- | --- | --- |
| 2.603 | 100 | 2 1 1 |
| 2.319 | 31 | 3 1 0 |
| 2.139 | 17 | 0 0 2 |
| 1.642 | 15 | 4 1 1 |
| 1.572 | 18 | 3 1 2 |
| 1.297 | 19 | 5 2 1 |